[1]
Diffraction record for Nd10S19. The PXRD pattern is simulated, not measured: it uses a structure optimized by DFT (PBE) and Cu Kα X-rays.
Lines closer than 0.1° are merged.

Largest 6 diffraction maxima, in order of falling intensity, 2θ from 10° to 80°:
two_theta	intensity
24.8	100
38.8	60
31.6	47
40.3	41
21.9	29
45.3	28

Structure:
a = 8.9452 Å, b = 8.9452 Å, c = 16.2020 Å
α = 90.00°, β = 90.00°, γ = 90.00°
Fractional positions:
Nd  0.0410  0.3480  0.1222
Nd  0.0555  0.3542  0.6028
Nd  0.1458  0.0555  0.8972
Nd  0.1520  0.0410  0.3778
Nd  0.2500  0.7500  0.1144
Nd  0.2500  0.7500  0.6144
Nd  0.3480  0.4590  0.3778
Nd  0.3542  0.4445  0.8972
Nd  0.4445  0.1458  0.6028
Nd  0.4590  0.1520  0.1222
Nd  0.5410  0.8480  0.8778
Nd  0.5555  0.8542  0.3972
Nd  0.6458  0.5555  0.1028
Nd  0.6520  0.5410  0.6222
Nd  0.7500  0.2500  0.3856
Nd  0.7500  0.2500  0.8856
Nd  0.8480  0.9590  0.6222
Nd  0.8542  0.9445  0.1028
Nd  0.9445  0.6458  0.3972
Nd  0.9590  0.6520  0.8778
S  0.0301  0.8046  0.2490
S  0.0493  0.3480  0.4263
S  0.0529  0.3518  0.9379
S  0.0767  0.8887  0.7501
S  0.1113  0.5767  0.2501
S  0.1482  0.0529  0.5621
S  0.1520  0.0493  0.0737
S  0.1954  0.5301  0.7490
S  0.2500  0.2500  0.2500
S  0.2500  0.7500  0.4343
S  0.2500  0.7500  0.9343
S  0.3046  0.9699  0.7490
S  0.3480  0.4507  0.0737
S  0.3518  0.4471  0.5621
S  0.3887  0.9233  0.2501
S  0.4233  0.6113  0.7501
S  0.4471  0.1482  0.9379
S  0.4507  0.1520  0.4263
S  0.4699  0.6954  0.2490
S  0.5301  0.3046  0.7510
S  0.5493  0.8480  0.5737
S  0.5529  0.8518  0.0621
S  0.5767  0.3887  0.2499
S  0.6113  0.0767  0.7499
S  0.6482  0.5529  0.4379
S  0.6520  0.5493  0.9263
S  0.6954  0.0301  0.2510
S  0.7500  0.2500  0.0657
S  0.7500  0.2500  0.5657
S  0.7500  0.7500  0.7500
S  0.8046  0.4699  0.2510
S  0.8480  0.9507  0.9263
S  0.8518  0.9471  0.4379
S  0.8887  0.4233  0.7499
S  0.9233  0.1113  0.2499
S  0.9471  0.6482  0.0621
S  0.9507  0.6520  0.5737
S  0.9699  0.1954  0.7510

---

[2]
Diffraction record for NdS. The PXRD pattern is simulated, not measured: it uses a structure optimized by DFT (PBE) and Cu Kα X-rays.
Lines closer than 0.1° are merged.

Largest 6 diffraction maxima, in order of falling intensity, 2θ from 10° to 80°:
two_theta	intensity
31.1	100
26.8	74
44.6	72
52.8	37
73.7	32
55.3	25

Structure:
a = 4.0668 Å, b = 4.0668 Å, c = 4.0668 Å
α = 60.00°, β = 60.00°, γ = 60.00°
Fractional positions:
Nd  0.0000  0.0000  0.0000
S  0.5000  0.5000  0.5000

---

[3]
Diffraction record for Nd2S. The PXRD pattern is simulated, not measured: it uses a structure optimized by DFT (PBE) and Cu Kα X-rays.
Lines closer than 0.1° are merged.

Largest 6 diffraction maxima, in order of falling intensity, 2θ from 10° to 80°:
two_theta	intensity
29.0	100
26.6	39
29.9	27
48.5	24
46.4	23
38.0	20

Structure:
a = 6.6916 Å, b = 6.6916 Å, c = 4.0630 Å
α = 90.00°, β = 90.00°, γ = 90.00°
Fractional positions:
Nd  0.2063  0.2063  0.0000
Nd  0.2937  0.7063  0.5000
Nd  0.7063  0.2937  0.5000
Nd  0.7937  0.7937  0.0000
S  0.0000  0.0000  0.5000
S  0.5000  0.5000  0.0000

---

[4]
Diffraction record for Nd6Si4S17. The PXRD pattern is simulated, not measured: it uses a structure optimized by DFT (PBE) and Cu Kα X-rays.
Lines closer than 0.1° are merged.

Largest 6 diffraction maxima, in order of falling intensity, 2θ from 10° to 80°:
two_theta	intensity
20.5	100
20.9	98
22.1	76
33.2	74
37.6	70
21.8	66

Structure:
a = 8.9586 Å, b = 9.9794 Å, c = 14.2638 Å
α = 81.98°, β = 87.06°, γ = 89.25°
Fractional positions:
Nd  0.0174  0.2681  0.4608
Nd  0.0847  0.5810  0.1654
Nd  0.1061  0.8849  0.8158
Nd  0.3320  0.9111  0.3422
Nd  0.3683  0.5644  0.6766
Nd  0.4485  0.2386  0.0013
Nd  0.5515  0.7614  0.9987
Nd  0.6317  0.4356  0.3234
Nd  0.6680  0.0889  0.6578
Nd  0.8939  0.1151  0.1842
Nd  0.9153  0.4190  0.8346
Nd  0.9826  0.7319  0.5392
Si  0.2308  0.9382  0.0990
Si  0.2500  0.0000  0.5839
Si  0.2501  0.5600  0.9227
Si  0.2759  0.5579  0.3940
Si  0.7241  0.4421  0.6060
Si  0.7500  0.0000  0.4161
Si  0.7499  0.4400  0.0773
Si  0.7692  0.0618  0.9010
S  0.0078  0.8727  0.1151
S  0.0140  0.9917  0.6229
S  0.0394  0.6491  0.9523
S  0.0666  0.6426  0.7219
S  0.1066  0.7020  0.3448
S  0.1841  0.4800  0.5326
S  0.2482  0.1147  0.1679
S  0.2574  0.3838  0.8509
S  0.2983  0.8064  0.5410
S  0.3038  0.4114  0.3012
S  0.3067  0.1340  0.4600
S  0.3217  0.9819  0.9562
S  0.3413  0.5007  0.0572
S  0.3557  0.0312  0.7074
S  0.3678  0.7810  0.1668
S  0.3827  0.7136  0.8382
S  0.4850  0.6542  0.3964
S  0.5150  0.3458  0.6036
S  0.6173  0.2864  0.1618
S  0.6322  0.2190  0.8332
S  0.6443  0.9688  0.2926
S  0.6587  0.4993  0.9428
S  0.6783  0.0181  0.0438
S  0.6933  0.8660  0.5400
S  0.6962  0.5886  0.6988
S  0.7017  0.1936  0.4590
S  0.7426  0.6162  0.1491
S  0.7518  0.8853  0.8321
S  0.8159  0.5200  0.4674
S  0.8934  0.2980  0.6552
S  0.9334  0.3574  0.2781
S  0.9606  0.3509  0.0477
S  0.9860  0.0083  0.3771
S  0.9922  0.1273  0.8849

---

[5]
Diffraction record for Nd6SmS8. The PXRD pattern is simulated, not measured: it uses a structure optimized by DFT (PBE) and Cu Kα X-rays.
Lines closer than 0.1° are merged.

Largest 6 diffraction maxima, in order of falling intensity, 2θ from 10° to 80°:
two_theta	intensity
31.2	100
44.7	72
26.9	64
53.0	33
73.9	32
55.5	25

Structure:
a = 8.1079 Å, b = 8.1079 Å, c = 8.1079 Å
α = 60.00°, β = 60.00°, γ = 60.00°
Fractional positions:
Nd  0.0000  0.0000  0.5000
Nd  0.0000  0.5000  0.0000
Nd  0.0000  0.5000  0.5000
Nd  0.5000  0.0000  0.0000
Nd  0.5000  0.0000  0.5000
Nd  0.5000  0.5000  0.0000
Sm  0.0000  0.0000  0.0000
S  0.2473  0.2473  0.7527
S  0.2473  0.7527  0.2473
S  0.2473  0.7527  0.7527
S  0.2500  0.2500  0.2500
S  0.7500  0.7500  0.7500
S  0.7527  0.2473  0.2473
S  0.7527  0.2473  0.7527
S  0.7527  0.7527  0.2473

---

[6]
Diffraction record for NdTlSnS3. The PXRD pattern is simulated, not measured: it uses a structure optimized by DFT (PBE) and Cu Kα X-rays.
Lines closer than 0.1° are merged.

Largest 6 diffraction maxima, in order of falling intensity, 2θ from 10° to 80°:
two_theta	intensity
27.3	100
19.3	57
42.5	54
31.9	39
27.4	34
23.6	32

Structure:
a = 8.2969 Å, b = 8.2969 Å, c = 11.2107 Å
α = 90.00°, β = 90.00°, γ = 151.18°
Fractional positions:
Nd  0.0000  0.0000  0.0000
Nd  0.0000  0.0000  0.5000
Tl  0.3128  0.6872  0.7500
Tl  0.6872  0.3128  0.2500
Sn  0.3696  0.6304  0.2500
Sn  0.6304  0.3696  0.7500
S  0.0236  0.9764  0.7500
S  0.3800  0.6200  0.5009
S  0.3800  0.6200  0.9991
S  0.6200  0.3800  0.0009
S  0.6200  0.3800  0.4991
S  0.9764  0.0236  0.2500

---

[7]
Diffraction record for Nd2Sb. The PXRD pattern is simulated, not measured: it uses a structure optimized by DFT (PBE) and Cu Kα X-rays.
Lines closer than 0.1° are merged.

Largest 6 diffraction maxima, in order of falling intensity, 2θ from 10° to 80°:
two_theta	intensity
31.3	100
36.3	48
33.9	31
32.5	21
28.5	16
62.2	16

Structure:
a = 6.9958 Å, b = 4.9496 Å, c = 10.4853 Å
α = 90.00°, β = 90.00°, γ = 90.00°
Fractional positions:
Nd  0.0841  0.2500  0.2067
Nd  0.1614  0.2500  0.5538
Nd  0.3386  0.7500  0.0538
Nd  0.4159  0.7500  0.7067
Nd  0.5841  0.2500  0.2933
Nd  0.6614  0.2500  0.9462
Nd  0.8386  0.7500  0.4462
Nd  0.9159  0.7500  0.7933
Sb  0.1922  0.2500  0.8751
Sb  0.3078  0.7500  0.3751
Sb  0.6922  0.2500  0.6249
Sb  0.8078  0.7500  0.1249

---

[8]
Diffraction record for NdSb. The PXRD pattern is simulated, not measured: it uses a structure optimized by DFT (PBE) and Cu Kα X-rays.
Lines closer than 0.1° are merged.

Largest 6 diffraction maxima, in order of falling intensity, 2θ from 10° to 80°:
two_theta	intensity
34.2	100
25.6	89
38.8	67
52.7	29
67.3	27
67.5	26

Structure:
a = 4.6437 Å, b = 4.6437 Å, c = 6.9178 Å
α = 90.00°, β = 90.00°, γ = 120.00°
Fractional positions:
Nd  0.3333  0.6667  0.2500
Nd  0.6667  0.3333  0.7500
Sb  0.0000  0.0000  0.0000
Sb  0.0000  0.0000  0.5000

---

[9]
Diffraction record for NdYSc2Sb2. The PXRD pattern is simulated, not measured: it uses a structure optimized by DFT (PBE) and Cu Kα X-rays.
Lines closer than 0.1° are merged.

Largest 6 diffraction maxima, in order of falling intensity, 2θ from 10° to 80°:
two_theta	intensity
36.2	100
28.7	87
34.0	77
41.1	70
54.4	60
30.7	60

Structure:
a = 8.7882 Å, b = 8.7882 Å, c = 8.7882 Å
α = 151.03°, β = 151.03°, γ = 41.43°
Fractional positions:
Nd  0.0000  0.0000  0.0000
Y  0.3522  0.3522  0.0000
Sc  0.1768  0.6768  0.5000
Sc  0.6768  0.1768  0.5000
Sb  0.5471  0.5471  0.0000
Sb  0.8055  0.8055  0.0000

---

[10]
Diffraction record for NdZr2ScSb2. The PXRD pattern is simulated, not measured: it uses a structure optimized by DFT (PBE) and Cu Kα X-rays.
Lines closer than 0.1° are merged.

Largest 6 diffraction maxima, in order of falling intensity, 2θ from 10° to 80°:
two_theta	intensity
36.8	100
31.5	76
42.4	56
34.2	40
21.5	34
32.4	29

Structure:
a = 8.8279 Å, b = 8.8279 Å, c = 8.8279 Å
α = 152.03°, β = 152.03°, γ = 39.98°
Fractional positions:
Nd  0.0000  0.0000  0.0000
Zr  0.1820  0.6820  0.5000
Zr  0.6820  0.1820  0.5000
Sc  0.3511  0.3511  0.0000
Sb  0.5472  0.5472  0.0000
Sb  0.8129  0.8129  0.0000

---

[11]
Diffraction record for Nd2SmSb3. The PXRD pattern is simulated, not measured: it uses a structure optimized by DFT (PBE) and Cu Kα X-rays.
Lines closer than 0.1° are merged.

Largest 6 diffraction maxima, in order of falling intensity, 2θ from 10° to 80°:
two_theta	intensity
28.0	100
40.0	77
49.6	21
72.8	19
65.5	18
65.6	18

Structure:
a = 4.4992 Å, b = 4.4992 Å, c = 11.0501 Å
α = 90.00°, β = 90.00°, γ = 120.00°
Fractional positions:
Nd  0.3333  0.6667  0.3321
Nd  0.6667  0.3333  0.6679
Sm  0.0000  0.0000  0.0000
Sb  0.0000  0.0000  0.5000
Sb  0.3333  0.6667  0.8360
Sb  0.6667  0.3333  0.1640